No. 1
Starting from a structure optimized by DFT (GGA-PBE), the X-ray powder pattern of Nd6Ir2Rh was computed for Cu Kα X-rays.

Largest 10 diffraction maxima, most intense first, 2θ from 10° to 80°:
Position (°2θ)  d_spacing  Rel. int.
29.37  3.041  100
30.02  2.977  92
31.93  2.803  76
32.41  2.762  74
35.65  2.518  57
37.26  2.413  50
28.39  3.144  50
38.70  2.326  45
46.32  1.960  43
28.67  3.114  38

Structure:
abc: 6.8826 7.4187 11.9516
angles: 90.00 120.58 90.00
Fractional positions:
Nd: 0.0821 0.0574 0.2513
Nd: 0.0821 0.4426 0.7513
Nd: 0.2619 0.6780 0.0834
Nd: 0.2619 0.8220 0.5834
Nd: 0.3983 0.1812 0.0663
Nd: 0.3983 0.3188 0.5663
Nd: 0.6017 0.6812 0.4337
Nd: 0.6017 0.8188 0.9337
Nd: 0.7381 0.1780 0.4166
Nd: 0.7381 0.3220 0.9166
Nd: 0.9179 0.5574 0.2487
Nd: 0.9179 0.9426 0.7487
Ir: 0.3236 0.1119 0.7764
Ir: 0.3236 0.3881 0.2764
Ir: 0.6764 0.6119 0.7236
Ir: 0.6764 0.8881 0.2236
Rh: 0.0000 0.0000 0.0000
Rh: 0.0000 0.5000 0.5000

No. 2
Starting from a structure optimized by DFT (GGA-PBE), the X-ray powder pattern of PrScCCl was computed for Cu Kα X-rays.

Largest 10 diffraction maxima, most intense first, 2θ from 10° to 80°:
Position (°2θ)  d_spacing  Rel. int.
12.50  7.083  100
30.80  2.903  68
38.74  2.324  51
31.89  2.806  51
27.06  3.295  47
28.99  3.080  45
47.66  1.908  44
34.37  2.609  26
62.59  1.484  20
49.47  1.842  20

Structure:
abc: 14.3362 14.3362 14.3362
angles: 15.30 15.30 15.30
Fractional positions:
Pr: 0.0802 0.0802 0.0802
Pr: 0.9198 0.9198 0.9198
Sc: 0.3102 0.3102 0.3102
Sc: 0.6898 0.6898 0.6898
C: 0.3742 0.3742 0.3742
C: 0.6258 0.6258 0.6258
Cl: 0.2097 0.2097 0.2097
Cl: 0.7903 0.7903 0.7903